[1]
Starting from a crystal structure in the Materials Project, relaxed with PBE, the X-ray powder pattern of Ca2GePt2 was computed for λ = 1.5418 Å (Cu Kα).
No peak broadening, texture or thermal motion is included.

Main lines, most intense first (10 to 90 degrees two-theta):
2θ (°), d/Å, I_rel, hkl
39.96, 2.256, 100, 4 0 -2
18.21, 4.873, 80, 1 1 0
22.51, 3.949, 50, 1 1 1
37.46, 2.401, 48, 2 2 -1
22.73, 3.912, 47, 0 0 2
48.27, 1.885, 40, 2 2 -3
20.41, 4.352, 36, 1 1 -1
37.31, 2.410, 34, 1 1 -3

Crystal structure
Unit cell a=9.726 b=5.674 c=8.003 alpha=90.00 beta=102.16 gamma=90.00
Space group C2/c (No. 15)
Inequivalent atoms, fractional coordinates:
Ca 0.152 0.130 0.154
Ge 0.000 0.374 0.750
Pt 0.128 0.367 0.501


[2]
Starting from a crystal structure in the Materials Project, relaxed with PBE, the X-ray powder pattern of CaGe2Rh2 was computed for λ = 1.5418 Å (Cu Kα).
No peak broadening, texture or thermal motion is included.

Main lines, most intense first (10 to 90 degrees two-theta):
2θ (°), d/Å, I_rel, hkl
34.78, 2.579, 100, 1 1 2
46.21, 1.964, 72, 1 1 4
16.89, 5.251, 70, 0 0 2
43.21, 2.094, 70, 2 0 0
33.36, 2.686, 40, 1 0 3
81.39, 1.182, 27, 3 1 4
62.76, 1.480, 22, 2 2 0
73.80, 1.284, 21, 3 1 2

Crystal structure
Unit cell a=4.187 b=4.187 c=10.501 alpha=90.00 beta=90.00 gamma=90.00
Space group I4/mmm (No. 139)
Inequivalent atoms, fractional coordinates:
Ca 0.000 0.000 0.000
Ge 0.000 0.000 0.374
Rh 0.000 0.500 0.250


[3]
Starting from a crystal structure in the Materials Project, relaxed with PBE, the X-ray powder pattern of Ca3Ge13Rh4 was computed for λ = 1.5418 Å (Cu Kα).
No peak broadening, texture or thermal motion is included.

Main lines, most intense first (10 to 90 degrees two-theta):
2θ (°), d/Å, I_rel, hkl
35.74, 2.512, 100, 3 2 0
49.28, 1.849, 61, 4 2 2
19.60, 4.529, 36, 2 0 0
37.14, 2.421, 36, 3 2 1
44.74, 2.025, 34, 4 2 0
39.81, 2.265, 31, 4 0 0
41.09, 2.197, 23, 4 1 0
59.51, 1.553, 16, 4 3 3

Crystal structure
Unit cell a=9.058 b=9.058 c=9.058 alpha=90.00 beta=90.00 gamma=90.00
Space group Pm-3n (No. 223)
Inequivalent atoms, fractional coordinates:
Ca 0.000 0.250 0.500
Ge 0.000 0.000 0.000
Ge 0.000 0.302 0.145
Rh 0.250 0.250 0.250


[4]
Starting from a crystal structure in the Materials Project, relaxed with PBE, the X-ray powder pattern of SrCaGe was computed for λ = 1.5418 Å (Cu Kα).
No peak broadening, texture or thermal motion is included.

Main lines, most intense first (10 to 90 degrees two-theta):
2θ (°), d/Å, I_rel, hkl
29.96, 2.982, 100, 2 1 1
28.61, 3.120, 65, 1 1 2
34.36, 2.610, 52, 0 1 3
36.15, 2.485, 49, 0 2 0
31.14, 2.872, 21, 1 0 3
29.26, 3.053, 19, 2 0 2
38.45, 2.341, 19, 3 0 2
55.48, 1.656, 17, 3 1 4

Crystal structure
Unit cell a=8.156 b=4.969 c=9.207 alpha=90.00 beta=90.00 gamma=90.00
Space group Pnma (No. 62)
Inequivalent atoms, fractional coordinates:
Sr 0.022 0.250 0.178
Ca 0.147 0.250 0.573
Ge 0.233 0.750 0.394


[5]
Starting from a crystal structure in the Materials Project, relaxed with PBE, the X-ray powder pattern of CaZnGe was computed for λ = 1.5418 Å (Cu Kα).
No peak broadening, texture or thermal motion is included.

Main lines, most intense first (10 to 90 degrees two-theta):
2θ (°), d/Å, I_rel, hkl
32.34, 2.769, 100, 1 0 2
41.84, 2.159, 64, 1 1 0
62.31, 1.490, 37, 1 1 4
21.58, 4.119, 37, 0 0 2
47.55, 1.912, 28, 1 1 2
53.85, 1.702, 22, 2 0 2
70.43, 1.337, 19, 2 1 2
43.97, 2.059, 18, 0 0 4

Crystal structure
Unit cell a=4.3179 b=4.3179 c=8.2372 alpha=90.00 beta=90.00 gamma=120.00
Space group P6_3/mmc (No. 194)
Inequivalent atoms, fractional coordinates:
Ca 0.0000 0.0000 0.0000
Zn 0.3333 0.6667 0.2500
Ge 0.3333 0.6667 0.7500


[6]
Starting from a crystal structure in the Materials Project, relaxed with PBE, the X-ray powder pattern of CaH2 was computed for λ = 1.5418 Å (Cu Kα).
No peak broadening, texture or thermal motion is included.

Main lines, most intense first (10 to 90 degrees two-theta):
2θ (°), d/Å, I_rel, hkl
31.96, 2.800, 100, 1 1 1
31.67, 2.826, 57, 0 2 1
33.53, 2.673, 32, 0 0 2
27.13, 3.287, 30, 1 1 0
58.78, 1.571, 25, 2 2 1
47.51, 1.914, 24, 1 3 0
59.40, 1.556, 21, 1 3 2
43.65, 2.074, 19, 1 1 2

Crystal structure
Unit cell a=3.780 b=6.657 c=5.346 alpha=90.00 beta=90.00 gamma=90.00
Space group Cmcm (No. 63)
Inequivalent atoms, fractional coordinates:
Ca 0.000 0.162 0.250
H 0.000 0.169 0.750
H 0.000 0.500 0.000


[7]
Starting from a crystal structure in the Materials Project, relaxed with PBE, the X-ray powder pattern of CaH2 was computed for λ = 1.5418 Å (Cu Kα).
No peak broadening, texture or thermal motion is included.

Main lines, most intense first (10 to 90 degrees two-theta):
2θ (°), d/Å, I_rel, hkl
31.85, 2.810, 100, 1 0 1
26.99, 3.304, 26, 1 0 0
47.67, 1.908, 23, 1 1 0
33.57, 2.669, 21, 0 0 2
59.57, 1.552, 20, 1 1 2
43.59, 2.076, 16, 1 0 2
58.48, 1.578, 15, 2 0 1
58.95, 1.567, 15, 1 0 3

Crystal structure
Unit cell a=3.8152 b=3.8152 c=5.3390 alpha=90.00 beta=90.00 gamma=120.00
Space group P6_3/mmc (No. 194)
Inequivalent atoms, fractional coordinates:
Ca 0.3333 0.6667 0.2500
H 0.0000 0.0000 0.0000
H 0.3333 0.6667 0.7500


[8]
Starting from a crystal structure in the Materials Project, relaxed with PBE, the X-ray powder pattern of CaH3 was computed for λ = 1.5418 Å (Cu Kα).
No peak broadening, texture or thermal motion is included.

Main lines, most intense first (10 to 90 degrees two-theta):
2θ (°), d/Å, I_rel, hkl
29.32, 3.046, 100, 1 1 1
33.98, 2.638, 50, 2 0 0
48.82, 1.865, 40, 2 2 0
57.97, 1.591, 38, 3 1 1
79.12, 1.210, 14, 3 3 1
81.60, 1.180, 13, 4 2 0
60.81, 1.523, 11, 2 2 2
71.53, 1.319, 5, 4 0 0

Crystal structure
Unit cell a=5.276 b=5.276 c=5.276 alpha=90.00 beta=90.00 gamma=90.00
Space group Fm-3m (No. 225)
Inequivalent atoms, fractional coordinates:
Ca 0.000 0.000 0.000
H 0.000 0.000 0.500
H 0.250 0.250 0.250


[9]
Starting from a crystal structure in the Materials Project, relaxed with PBE, the X-ray powder pattern of CaH2 was computed for λ = 1.5418 Å (Cu Kα).
No peak broadening, texture or thermal motion is included.

Main lines, most intense first (10 to 90 degrees two-theta):
2θ (°), d/Å, I_rel, hkl
31.88, 2.807, 100, 1 1 1
31.55, 2.836, 59, 1 0 2
33.43, 2.680, 33, 2 0 0
27.06, 3.295, 31, 0 1 1
58.61, 1.575, 26, 3 0 2
47.34, 1.920, 25, 0 1 3
59.19, 1.561, 21, 2 1 3
43.52, 2.079, 19, 2 1 1

Crystal structure
Unit cell a=5.361 b=3.788 c=6.683 alpha=90.00 beta=90.00 gamma=90.00
Space group Pnma (No. 62)
Inequivalent atoms, fractional coordinates:
Ca 0.248 0.250 0.089
H 0.002 0.750 0.256
H 0.240 0.750 0.919


[10]
Starting from a crystal structure in the Materials Project, relaxed with PBE, the X-ray powder pattern of CaH2 was computed for λ = 1.5418 Å (Cu Kα).
No peak broadening, texture or thermal motion is included.

Main lines, most intense first (10 to 90 degrees two-theta):
2θ (°), d/Å, I_rel, hkl
32.14, 2.785, 100, 1 1 1
30.44, 2.937, 95, 1 0 2
28.25, 3.159, 50, 0 1 1
30.29, 2.951, 50, 2 0 0
41.89, 2.156, 36, 2 1 1
60.67, 1.527, 35, 2 2 0
47.66, 1.908, 22, 0 1 3
57.52, 1.602, 22, 2 1 3

Crystal structure
Unit cell a=5.901 b=3.572 c=6.771 alpha=90.00 beta=90.00 gamma=90.00
Space group Pnma (No. 62)
Inequivalent atoms, fractional coordinates:
Ca 0.239 0.250 0.110
H 0.026 0.750 0.323
H 0.144 0.750 0.928


[11]
Starting from a crystal structure in the Materials Project, relaxed with PBE, the X-ray powder pattern of Ca2HI2 was computed for λ = 1.5418 Å (Cu Kα).
No peak broadening, texture or thermal motion is included.

Main lines, most intense first (10 to 90 degrees two-theta):
2θ (°), d/Å, I_rel, hkl
18.36, 4.833, 100, 1 0 0
26.07, 3.418, 42, 1 1 0
41.77, 2.162, 29, 2 1 0
22.05, 4.032, 25, 1 0 2
12.11, 7.311, 24, 0 0 2
25.96, 3.432, 23, 1 0 3
30.65, 2.917, 20, 1 0 4
35.94, 2.499, 19, 1 1 4

Crystal structure
Unit cell a=4.833 b=4.833 c=14.623 alpha=90.00 beta=90.00 gamma=90.00
Space group P4/mmm (No. 123)
Inequivalent atoms, fractional coordinates:
Ca 0.000 0.000 0.142
H 0.000 0.000 0.000
I 0.000 0.000 0.331